Theoretical powder XRD pattern
Compound: Rb3CoO2
Radiation: Cu Kα (weighted mean of Kα1 and Kα2)
Structure: a PBE+U-relaxed structure
Lines closer than 0.1° are merged.

Main lines, low angle first (2θ = 10–90°):
| 2theta | Rel. int. | (hkl) |
| --- | --- | --- |
| 28.40 | 16 | 0 0 2 |
| 28.64 | 25 | 4 0 0 |
| 29.31 | 12 | 1 0 2 |
| 30.53 | 100 | 2 2 1 |
| 34.60 | 8 | 3 2 1 |
| 40.77 | 14 | 4 0 2 |
| 46.50 | 15 | 0 4 0 |
| 49.94 | 8 | 1 2 3 |
| 51.92 | 14 | 6 2 1 |
| 55.53 | 8 | 4 4 0 |

Structural model:
```
Rb3CoO2
1.0
12.4691 0.0000 0.0000
0.0000 7.8104 0.0000
0.0000 0.0000 6.2845
Rb Co O
12 4 8
Direct
0.1008 0.2500 0.2259
0.1377 0.0000 0.6821
0.1377 0.5000 0.6821
0.3623 0.0000 0.1821
0.3623 0.5000 0.1821
0.3992 0.7500 0.7259
0.6008 0.2500 0.2741
0.6377 0.0000 0.8179
0.6377 0.5000 0.8179
0.8623 0.0000 0.3179
0.8623 0.5000 0.3179
0.8992 0.7500 0.7741
0.1187 0.7500 0.1927
0.3813 0.2500 0.6927
0.6187 0.7500 0.3073
0.8813 0.2500 0.8073
0.0284 0.7500 0.4102
0.2147 0.7500 0.9844
0.2853 0.2500 0.4844
0.4716 0.2500 0.9102
0.5284 0.7500 0.0898
0.7147 0.7500 0.5156
0.7853 0.2500 0.0156
0.9716 0.2500 0.5898
```